Structure and simulated PXRD pattern of TaFeO3 (a DFT-relaxed cell (PBE+U, the Materials Project); copper Kα).
Neutral-atom scattering factors, no anomalous dispersion.

Structural model:
Cell lengths 3.979, 3.979, 3.979 Å; angles 90.00, 90.00, 90.00 degrees
Element x y z (fractional)
Ta 0.000 0.000 0.000
Fe 0.500 0.500 0.500
O 0.000 0.000 0.500
O 0.000 0.500 0.000
O 0.500 0.000 0.000

The 8 most intense peaks (15 to 90 degrees two-theta), most intense first:
- 31.80°, I = 100, (1 1 0)
- 22.34°, I = 46, (1 0 0)
- 56.66°, I = 39, (2 1 1)
- 45.59°, I = 30, (2 0 0)
- 51.34°, I = 20, (2 1 0)
- 66.45°, I = 18, (2 2 0)
- 75.56°, I = 17, (3 1 0)
- 71.07°, I = 10, (3 0 0)